Structure and calculated PXRD pattern of Hf6ZrCo3 (a crystal structure in Alexandria, relaxed with GGA-PBE; Cu Kα, 1.54184 Å).
Intensities are scaled so that the largest is 100.

The 10 most intense peaks (10° ≤ 2θ ≤ 80°), sorted by position:
- 31.5°, intensity 12
- 31.6°, intensity 13
- 32.9°, intensity 30
- 34.3°, intensity 11
- 35.7°, intensity 20
- 37.5°, intensity 100
- 46.2°, intensity 13
- 57.4°, intensity 12
- 61.8°, intensity 14
- 67.8°, intensity 12

Structure:
Lattice parameters (Å, degrees): 7.861 7.861 6.062 90.00 90.00 92.44
Fractional coordinates of all 20 atoms:
Hf  0.004  0.530  0.496
Hf  0.071  0.929  0.500
Hf  0.270  0.277  0.731
Hf  0.277  0.270  0.231
Hf  0.313  0.687  0.745
Hf  0.470  0.996  0.496
Hf  0.530  0.004  0.996
Hf  0.687  0.313  0.245
Hf  0.723  0.730  0.731
Hf  0.730  0.723  0.231
Hf  0.929  0.071  0.000
Hf  0.996  0.470  0.996
Zr  0.308  0.692  0.234
Zr  0.692  0.308  0.734
Co  0.010  0.770  0.965
Co  0.230  0.990  0.965
Co  0.496  0.504  0.490
Co  0.504  0.496  0.990
Co  0.770  0.010  0.465
Co  0.990  0.230  0.465